This entry pairs a crystal structure of Li2MgB12H16O28 with its simulated powder diffractogram. Radiation: Cu Kα. Structure: a structure optimized by DFT (GGA-PBE).
Lines closer than 0.1° are merged.

Structural model:
a b c (Å): 6.9929 9.3147 9.5957
angles (deg): 106.93 90.86 111.94
Space group P-1 (No. 2)
Inequivalent atoms, fractional coordinates:
Li (0.0009, 0.2667, 0.2776) [2 per cell]
Mg (0.0000, 0.0000, 0.5000) [1 per cell]
B (0.0825, 0.3077, 0.9854) [2 per cell]
B (0.1979, 0.3346, 0.7468) [2 per cell]
B (0.2073, 0.1027, 0.8414) [2 per cell]
B (0.4529, 0.1976, 0.6523) [2 per cell]
B (0.4617, 0.5158, 0.3262) [2 per cell]
B (0.4731, 0.9560, 0.1925) [2 per cell]
H (0.0461, 0.5505, 0.8891) [2 per cell]
H (0.1001, 0.0297, 0.2285) [2 per cell]
H (0.1076, 0.7647, 0.3432) [2 per cell]
H (0.2443, 0.6601, 0.5209) [2 per cell]
H (0.2519, 0.6018, 0.6569) [2 per cell]
H (0.3535, 0.0442, 0.0628) [2 per cell]
H (0.3728, 0.0272, 0.4409) [2 per cell]
H (0.3739, 0.2830, 0.3108) [2 per cell]
O (0.0064, 0.6433, 0.8919) [2 per cell]
O (0.0233, 0.2321, 0.6247) [2 per cell]
O (0.0294, 0.9668, 0.7327) [2 per cell]
O (0.1150, 0.3888, 0.8820) [2 per cell]
O (0.1365, 0.1784, 0.9713) [2 per cell]
O (0.2118, 0.6781, 0.6221) [2 per cell]
O (0.3135, 0.0929, 0.5134) [2 per cell]
O (0.3151, 0.2310, 0.7664) [2 per cell]
O (0.3201, 0.3690, 0.3373) [2 per cell]
O (0.3411, 0.0247, 0.1598) [2 per cell]
O (0.3473, 0.4749, 0.7138) [2 per cell]
O (0.3610, 0.0443, 0.8815) [2 per cell]
O (0.4026, 0.6453, 0.3579) [2 per cell]
O (0.4275, 0.8864, 0.3037) [2 per cell]

Top 10 peaks for 2θ from 10° to 90°, by intensity:
d = 3.543 Å, I 100, hkl 1 1 1; d = 4.931 Å, I 96, hkl 1 0 1; d = 7.367 Å, I 82, hkl 0 1 -1; d = 6.437 Å, I 69, hkl 1 -1 0; d = 8.186 Å, I 65, hkl 0 1 0; d = 5.298 Å, I 63, hkl 0 1 1; d = 4.293 Å, I 60, hkl 1 1 0; d = 2.221 Å, I 59, hkl 2 -4 1; d = 3.489 Å, I 50, hkl 1 0 2; d = 2.924 Å, I 46, hkl 0 2 -3

***

This entry pairs a crystal structure of Nd2TmCu2Ge2 with its simulated powder diffractogram. Radiation: Cu Kα. Structure: a structure optimized by DFT (GGA-PBE).
Lines closer than 0.1° are merged.

Structural model:
a b c (Å): 4.2423 4.2423 30.8664
angles (deg): 90.00 90.00 120.00
Space group R-3m (No. 166, hexagonal axes)
Inequivalent atoms, fractional coordinates:
Nd (0.0000, 0.0000, 0.1197) [6 per cell]
Tm (0.0000, 0.0000, 0.0000) [3 per cell]
Cu (0.0000, 0.0000, 0.3864) [6 per cell]
Ge (0.0000, 0.0000, 0.2748) [6 per cell]

Top 10 peaks for 2θ from 10° to 90°, by intensity:
d = 2.661 Å, I 100, hkl 0 1 8; d = 2.121 Å, I 77, hkl 1 1 0; d = 2.823 Å, I 54, hkl 1 0 7; d = 3.648 Å, I 38, hkl 1 0 1; d = 1.659 Å, I 24, hkl 2 0 8; d = 2.363 Å, I 24, hkl 1 0 10; d = 1.334 Å, I 22, hkl 1 1 18; d = 1.307 Å, I 21, hkl 1 2 8; d = 1.477 Å, I 14, hkl 1 1 15; d = 1.225 Å, I 13, hkl 3 0 0